# Ca4ZrTi3Si4O20
Theoretical X-ray diffraction stick pattern, λ = 1.5418 Å (Cu Kα). Input: a cell relaxed with PBE.
Intensities are scaled so that the largest is 100.

Most intense lines, 2θ = 10–90°, in order of rising 2θ:
- hkl 0 1 -1, 2θ = 17.55°, rel. 17
- hkl 1 0 -1, 2θ = 17.66°, rel. 16
- hkl 1 0 3, 2θ = 26.93°, rel. 100
- hkl 1 1 -2, 2θ = 29.14°, rel. 69
- hkl 1 -2 1, 2θ = 33.64°, rel. 31
- hkl -2 1 1, 2θ = 33.86°, rel. 79
- hkl -2 1 3, 2θ = 38.82°, rel. 18
- hkl 1 1 6, 2θ = 51.16°, rel. 14
- hkl 0 3 -3, 2θ = 54.47°, rel. 13
- hkl 3 0 -3, 2θ = 54.85°, rel. 13

Crystal structure
Unit cell a=5.5304 b=5.5669 c=13.2313 alpha=92.35 beta=92.17 gamma=105.71
Space group P-1 (No. 2)
Symmetry-distinct sites (fractional):
Ca 0.0460 0.2035 0.3760
Ca 0.4531 0.2894 0.1322
Zr 0.0000 0.5000 0.0000
Ti 0.2500 0.7483 0.2537
Ti 0.5000 0.0000 0.5000
Si 0.2028 0.0608 0.8705
Si 0.3053 0.4439 0.6229
O 0.0747 0.9979 0.1920
O 0.0818 0.4513 0.7015
O 0.2086 0.5528 0.1336
O 0.2155 0.8455 0.9504
O 0.2460 0.1718 0.5576
O 0.2692 0.3313 0.9363
O 0.2960 0.6692 0.5467
O 0.3041 0.9451 0.3772
O 0.4176 0.0414 0.7897
O 0.4212 0.4963 0.3122